No. 1
Diffraction record for Sm7In2Sb2. The powder diffractogram is simulated, not measured: it uses a cell relaxed with GGA-PBE and Cu Kα X-rays.
Lines closer than 0.1° are merged.

Cell and atoms:
```
data_Sm7In2Sb2
_chemical_formula_sum 'Sm14 In4 Sb4'
_cell_length_a 8.468
_cell_length_b 11.256
_cell_length_c 7.638
_cell_angle_alpha 90.00
_cell_angle_beta 90.00
_cell_angle_gamma 90.00
_symmetry_space_group_name_H-M 'C m m m'
_symmetry_Int_Tables_number 65
_symmetry_space_group_name_Hall '-C 2 2'
loop_
_atom_site_label
_atom_site_fract_x
_atom_site_fract_y
_atom_site_fract_z
Sm1 0.000 0.000 0.000
Sm2 0.000 0.500 0.267
Sm3 0.250 0.250 0.282
In1 0.172 0.000 0.500
Sb1 0.000 0.282 0.000
```

Main lines, most intense first (2θ from 10° to 80°):
(2 2 2), 35.45°, I 100
(0 4 0), 31.80°, I 64
(1 3 2), 35.18°, I 53
(1 1 2), 26.81°, I 48
(2 2 0), 26.34°, I 48
(2 0 1), 24.03°, I 46
(2 6 2), 59.03°, I 20
(4 0 0), 42.71°, I 20
(2 4 1), 40.25°, I 18
(3 3 1), 41.76°, I 18

No. 2
Diffraction record for Sm3InSb. The powder diffractogram is simulated, not measured: it uses a cell relaxed with GGA-PBE and Cu Kα X-rays.
Lines closer than 0.1° are merged.

Cell and atoms:
```
data_Sm3InSb
_chemical_formula_sum 'Sm12 In4 Sb4'
_cell_length_a 4.121
_cell_length_b 10.142
_cell_length_c 16.181
_cell_angle_alpha 90.00
_cell_angle_beta 90.00
_cell_angle_gamma 90.00
_symmetry_space_group_name_H-M 'A m m 2'
_symmetry_Int_Tables_number 38
_symmetry_space_group_name_Hall 'A 2 -2'
loop_
_atom_site_label
_atom_site_fract_x
_atom_site_fract_y
_atom_site_fract_z
Sm1 0.000 0.000 0.000
Sm2 0.000 0.000 0.294
Sm3 0.500 0.183 0.534
Sm4 0.500 0.184 0.759
In1 0.000 0.000 0.647
In2 0.500 0.000 0.147
Sb1 0.000 0.250 0.397
```

Main lines, most intense first (2θ from 10° to 80°):
(1 2 4), 35.79°, I 100
(1 1 3), 28.65°, I 96
(0 3 1), 26.94°, I 51
(0 2 6), 37.78°, I 43
(2 0 0), 43.94°, I 40
(1 3 1), 34.77°, I 33
(1 0 2), 24.24°, I 31
(0 3 3), 31.22°, I 31
(2 2 6), 59.30°, I 31
(1 0 4), 30.98°, I 30

No. 3
Diffraction record for Sm2InSb4. The powder diffractogram is simulated, not measured: it uses a cell relaxed with GGA-PBE and Cu Kα X-rays.
Lines closer than 0.1° are merged.

Cell and atoms:
```
data_Sm2InSb4
_chemical_formula_sum 'Sm2 In1 Sb4'
_cell_length_a 4.353
_cell_length_b 4.353
_cell_length_c 11.002
_cell_angle_alpha 90.00
_cell_angle_beta 90.00
_cell_angle_gamma 90.00
_symmetry_space_group_name_H-M 'P -4 m 2'
_symmetry_Int_Tables_number 115
_symmetry_space_group_name_Hall 'P -4 -2'
loop_
_atom_site_label
_atom_site_fract_x
_atom_site_fract_y
_atom_site_fract_z
Sm1 0.000 0.500 0.223
In1 0.000 0.000 0.500
Sb1 0.000 0.000 0.000
Sb2 0.000 0.500 0.680
Sb3 0.500 0.500 0.000
```

Main lines, most intense first (2θ from 10° to 80°):
(1 1 2), 33.35°, I 100
(2 0 0), 41.48°, I 35
(1 0 2), 26.10°, I 29
(3 1 2), 70.52°, I 28
(1 0 4), 38.72°, I 21
(2 1 4), 58.04°, I 13
(0 0 4), 32.55°, I 13
(0 0 6), 49.68°, I 12
(2 0 4), 53.70°, I 12
(2 2 0), 60.11°, I 12

No. 4
Diffraction record for InSn3Sb4. The powder diffractogram is simulated, not measured: it uses a cell relaxed with GGA-PBE and Cu Kα X-rays.
Lines closer than 0.1° are merged.

Cell and atoms:
```
data_InSn3Sb4
_chemical_formula_sum 'In3 Sn9 Sb12'
_cell_length_a 4.5500
_cell_length_b 4.5500
_cell_length_c 52.4232
_cell_angle_alpha 90.00
_cell_angle_beta 90.00
_cell_angle_gamma 120.00
_symmetry_space_group_name_H-M 'R 3 m'
_symmetry_Int_Tables_number 160
_symmetry_space_group_name_Hall 'R 3 -2"'
loop_
_atom_site_label
_atom_site_fract_x
_atom_site_fract_y
_atom_site_fract_z
In1 0.0000 0.0000 0.0000
Sn1 0.0000 0.0000 0.2579
Sn2 0.0000 0.0000 0.4976
Sn3 0.0000 0.0000 0.7462
Sb1 0.0000 0.0000 0.0545
Sb2 0.0000 0.0000 0.3134
Sb3 0.0000 0.0000 0.5670
Sb4 0.0000 0.0000 0.8052
```

Main lines, most intense first (2θ from 10° to 80°):
(1 0 4), 23.58°, I 100
(1 0 16), 35.64°, I 50
(1 1 0), 39.62°, I 49
(0 0 12), 20.33°, I 31
(1 1 12), 44.92°, I 23
(0 1 20), 41.37°, I 20
(0 2 16), 54.32°, I 17
(0 2 4), 46.62°, I 16
(2 1 16), 69.30°, I 15
(2 1 4), 62.79°, I 13

No. 5
Diffraction record for SrTl2InSb2. The powder diffractogram is simulated, not measured: it uses a cell relaxed with GGA-PBE and Cu Kα X-rays.
Lines closer than 0.1° are merged.

Cell and atoms:
```
data_SrTl2InSb2
_chemical_formula_sum 'Sr2 Tl4 In2 Sb4'
_cell_length_a 4.754
_cell_length_b 10.493
_cell_length_c 7.946
_cell_angle_alpha 90.00
_cell_angle_beta 90.00
_cell_angle_gamma 90.00
_symmetry_space_group_name_H-M 'P m c 21'
_symmetry_Int_Tables_number 26
_symmetry_space_group_name_Hall 'P 2c -2'
loop_
_atom_site_label
_atom_site_fract_x
_atom_site_fract_y
_atom_site_fract_z
Sr1 0.000 0.089 0.000
Tl1 0.000 0.331 0.336
Tl2 0.500 0.447 0.050
In1 0.500 0.183 0.657
Sb1 0.000 0.345 0.741
Sb2 0.500 0.090 0.298
```

Main lines, most intense first (2θ from 10° to 80°):
(1 1 2), 30.54°, I 100
(1 2 1), 27.70°, I 74
(1 3 0), 31.76°, I 56
(2 0 0), 37.85°, I 42
(0 3 2), 34.16°, I 32
(0 1 3), 34.94°, I 29
(1 0 2), 29.29°, I 28
(1 4 3), 52.75°, I 23
(0 3 1), 27.87°, I 21
(1 2 0), 25.28°, I 20

No. 6
Diffraction record for In3SbTe4. The powder diffractogram is simulated, not measured: it uses a cell relaxed with GGA-PBE and Cu Kα X-rays.
Lines closer than 0.1° are merged.

Cell and atoms:
```
data_In3SbTe4
_chemical_formula_sum 'In6 Sb2 Te8'
_cell_length_a 8.197
_cell_length_b 8.197
_cell_length_c 7.325
_cell_angle_alpha 90.00
_cell_angle_beta 90.00
_cell_angle_gamma 90.00
_symmetry_space_group_name_H-M 'I 4 2 2'
_symmetry_Int_Tables_number 97
_symmetry_space_group_name_Hall 'I 4 2'
loop_
_atom_site_label
_atom_site_fract_x
_atom_site_fract_y
_atom_site_fract_z
In1 0.000 0.000 0.000
In2 0.000 0.500 0.000
Sb1 0.000 0.000 0.500
Te1 0.196 0.304 0.750
```

Main lines, most intense first (2θ from 10° to 80°):
(2 0 2), 32.79°, I 100
(2 2 0), 30.86°, I 48
(2 1 1), 27.20°, I 38
(4 1 1), 47.38°, I 20
(4 2 2), 56.11°, I 17
(0 0 4), 49.77°, I 16
(2 2 4), 59.73°, I 14
(2 1 3), 44.59°, I 10
(4 1 3), 60.01°, I 10
(4 0 0), 44.20°, I 10